Entry 1:
For Hf3Zn3C, a DFT-relaxed cell (GGA-PBE, the Materials Project) gives the theoretical powder XRD pattern in this record (copper Kα).

Top 6 peaks for 10 to 90 degrees two-theta, sorted by position:
Position (°2θ)	intensity
32.2	27
36.3	53
38.6	100
42.2	21
65.4	48
78.6	18

abc: 8.568 8.568 8.568
angles: 60.00 60.00 60.00
Atoms (fractional coordinates):
Hf 0.063 0.063 0.687
Hf 0.063 0.687 0.063
Hf 0.063 0.687 0.687
Hf 0.313 0.313 0.937
Hf 0.313 0.937 0.313
Hf 0.313 0.937 0.937
Hf 0.687 0.063 0.063
Hf 0.687 0.063 0.687
Hf 0.687 0.687 0.063
Hf 0.937 0.313 0.313
Hf 0.937 0.313 0.937
Hf 0.937 0.937 0.313
Zn 0.000 0.500 0.500
Zn 0.293 0.293 0.293
Zn 0.293 0.293 0.620
Zn 0.293 0.620 0.293
Zn 0.380 0.707 0.707
Zn 0.500 0.000 0.500
Zn 0.500 0.500 0.000
Zn 0.500 0.500 0.500
Zn 0.620 0.293 0.293
Zn 0.707 0.380 0.707
Zn 0.707 0.707 0.380
Zn 0.707 0.707 0.707
C 0.000 0.000 0.000
C 0.000 0.000 0.500
C 0.000 0.500 0.000
C 0.500 0.000 0.000

Entry 2:
For RbAlCuP2O8, a DFT-relaxed cell (GGA-PBE, the Materials Project) gives the theoretical powder XRD pattern in this record (copper Kα).

Top 6 peaks for 10 to 90 degrees two-theta, sorted by position:
Position (°2θ)	intensity
26.4	76
28.6	100
29.4	45
31.3	35
31.4	33
35.6	38

abc: 5.129 14.217 9.464
angles: 90.00 100.21 90.00
Atoms (fractional coordinates):
Rb 0.213 0.174 0.287
Rb 0.213 0.326 0.787
Rb 0.787 0.674 0.213
Rb 0.787 0.826 0.713
Al 0.246 0.630 0.889
Al 0.246 0.870 0.389
Al 0.754 0.130 0.611
Al 0.754 0.370 0.111
Cu 0.240 0.042 0.950
Cu 0.240 0.458 0.450
Cu 0.760 0.542 0.550
Cu 0.760 0.958 0.050
P 0.273 0.672 0.549
P 0.273 0.828 0.049
P 0.279 0.012 0.664
P 0.279 0.488 0.164
P 0.721 0.512 0.836
P 0.721 0.988 0.336
P 0.727 0.172 0.951
P 0.727 0.328 0.451
O 0.011 0.051 0.696
O 0.011 0.449 0.196
O 0.095 0.586 0.485
O 0.095 0.914 0.985
O 0.158 0.742 0.959
O 0.158 0.758 0.459
O 0.230 0.578 0.075
O 0.230 0.922 0.575
O 0.251 0.689 0.708
O 0.251 0.811 0.208
O 0.413 0.091 0.588
O 0.413 0.409 0.088
O 0.435 0.160 0.970
O 0.435 0.340 0.470
O 0.451 0.510 0.313
O 0.451 0.990 0.813
O 0.549 0.010 0.187
O 0.549 0.490 0.687
O 0.565 0.660 0.530
O 0.565 0.840 0.030
O 0.587 0.591 0.912
O 0.587 0.909 0.412
O 0.749 0.189 0.792
O 0.749 0.311 0.292
O 0.770 0.078 0.425
O 0.770 0.422 0.925
O 0.842 0.242 0.541
O 0.842 0.258 0.041
O 0.905 0.086 0.015
O 0.905 0.414 0.515
O 0.989 0.551 0.804
O 0.989 0.949 0.304

Entry 3:
For Ce7Ir3, a DFT-relaxed cell (GGA-PBE, the Materials Project) gives the theoretical powder XRD pattern in this record (copper Kα).

Top 6 peaks for 10 to 90 degrees two-theta, sorted by position:
Position (°2θ)	intensity
31.0	50
31.3	100
34.7	92
36.0	91
36.4	93
55.8	42

abc: 9.880 9.880 6.137
angles: 90.00 90.00 120.00
Atoms (fractional coordinates):
Ce 0.075 0.538 0.000
Ce 0.128 0.257 0.709
Ce 0.128 0.872 0.709
Ce 0.257 0.128 0.209
Ce 0.333 0.667 0.503
Ce 0.462 0.538 0.000
Ce 0.462 0.925 0.000
Ce 0.538 0.075 0.500
Ce 0.538 0.462 0.500
Ce 0.667 0.333 0.003
Ce 0.743 0.872 0.709
Ce 0.872 0.128 0.209
Ce 0.872 0.743 0.209
Ce 0.925 0.462 0.500
Ir 0.187 0.374 0.258
Ir 0.187 0.813 0.258
Ir 0.374 0.187 0.758
Ir 0.626 0.813 0.258
Ir 0.813 0.187 0.758
Ir 0.813 0.626 0.758

Entry 4:
For YNi2B2, a DFT-relaxed cell (GGA-PBE, the Materials Project) gives the theoretical powder XRD pattern in this record (copper Kα).

Top 6 peaks for 10 to 90 degrees two-theta, sorted by position:
Position (°2θ)	intensity
26.9	39
38.8	24
39.1	25
40.9	100
51.5	28
66.5	19

abc: 5.248 5.248 5.248
angles: 140.47 140.47 57.14
Atoms (fractional coordinates):
Y 0.000 0.000 0.000
Ni 0.250 0.750 0.500
Ni 0.750 0.250 0.500
B 0.378 0.378 0.000
B 0.622 0.622 0.000